For K8Li9Fe4O16, a crystal structure in Alexandria, relaxed with PBE+U gives the calculated powder X-ray diffraction pattern in this record (CuKα).
Neutral-atom scattering factors, no anomalous dispersion.

Peak list (8 most intense, 10° ≤ 2θ ≤ 80°, most intense first)
(hkl)	two_theta	d_spacing	I (rel.)
1 2 3	34.13	2.627	1000
0 2 0	18.85	4.708	692
0 0 4	35.25	2.546	638
1 1 -1	21.34	4.165	585
1 -2 1	26.04	3.422	558
2 0 2	34.62	2.591	539
0 3 -1	29.98	2.980	373
0 3 1	29.59	3.019	347

```
37
Lattice="5.607 0.000 0.000 0.288 9.418 0.000 1.420 0.231 10.188" Properties=species:S:1:pos:R:3 pbc="T T T"
K 0.000 0.000 0.000
K 0.951 2.027 5.338
K 2.410 3.963 3.121
K 3.454 2.076 8.284
K 3.011 6.595 0.362
K 3.832 0.285 5.211
K 5.725 4.546 8.056
K 5.394 6.693 3.088
Li 1.892 6.635 8.812
Li 1.282 9.118 3.449
Li 2.966 4.482 9.881
Li 2.539 7.172 4.595
Li 2.345 2.075 0.944
Li 4.045 6.885 7.186
Li 4.665 8.924 8.630
Li 4.959 4.385 4.792
Li 5.760 1.814 2.325
Fe 2.809 4.743 6.235
Fe 3.383 9.338 2.087
Fe 5.026 3.956 1.062
Fe 6.821 8.542 7.118
O 1.167 4.676 5.474
O 0.564 2.644 0.365
O 1.545 8.675 5.340
O 2.860 8.278 7.966
O 1.993 1.288 2.809
O 3.056 5.139 8.036
O 2.617 7.750 2.773
O 3.618 3.135 5.870
O 2.868 0.154 0.226
O 3.842 6.054 5.367
O 3.257 3.839 0.521
O 5.793 7.354 8.094
O 5.532 0.601 7.417
O 5.164 9.465 2.657
O 5.151 3.693 2.898
O 5.770 5.532 0.377
```